Record 1
Structure and theoretical powder diffraction line list of MgHg15 (a PBE-relaxed structure; Cu Kα (weighted mean of Kα1 and Kα2)).
Intensities are scaled so that the largest is 100.

Most intense lines, 2θ = 5–70°, in order of rising 2θ:
2theta  d [Å]  I/Imax  h k l
28.47  3.135  27  2 0 0
31.70  2.822  3  1 0 3
34.29  2.615  100  2 0 2
37.96  2.370  18  0 0 4
48.12  1.891  13  2 0 4
50.42  1.810  22  2 2 0
58.92  1.568  4  4 0 0
62.40  1.488  17  4 0 2
64.81  1.439  20  2 2 4
66.23  1.411  14  2 0 6

Structural model:
Unit cell a=7.2401 b=7.2401 c=9.4815 alpha=90.00 beta=90.00 gamma=120.00
Space group P-6m2 (No. 187)
Asymmetric unit:
Mg: 0.0000 0.0000 0.0000 (multiplicity 1)
Hg: 0.0000 0.0000 0.5000 (multiplicity 1)
Hg: 0.0146 0.5073 0.0000 (multiplicity 3)
Hg: 0.3190 0.1595 0.2409 (multiplicity 6)
Hg: 0.3333 0.6667 0.2682 (multiplicity 2)
Hg: 0.5129 0.0257 0.5000 (multiplicity 3)

***

Record 2
Structure and theoretical powder diffraction line list of PuNpAu4 (a PBE-relaxed structure; Cu Kα (weighted mean of Kα1 and Kα2)).
Intensities are scaled so that the largest is 100.

Most intense lines, 2θ = 5–70°, in order of rising 2θ:
2theta  d [Å]  I/Imax  h k l
20.82  4.268  1  0 1 1
29.51  3.027  3  1 0 0
36.40  2.468  100  0 2 0
36.49  2.462  52  0 1 3
47.59  1.911  5  1 2 0
52.47  1.744  26  1 2 2
61.25  1.513  6  2 0 0
65.52  1.425  9  1 3 1
65.61  1.423  28  0 3 3
65.72  1.421  5  0 0 6

Structural model:
Unit cell a=3.0267 b=4.9333 c=8.5251 alpha=90.00 beta=90.00 gamma=90.00
Space group Pmmm (No. 47)
Asymmetric unit:
Pu: 0.0000 0.0000 0.0000 (multiplicity 1)
Np: 0.0000 0.5000 0.5000 (multiplicity 1)
Au: 0.5000 0.0000 0.3337 (multiplicity 2)
Au: 0.5000 0.5000 0.1673 (multiplicity 2)

***

Record 3
Structure and theoretical powder diffraction line list of KThSiO5 (a PBE-relaxed structure; Cu Kα (weighted mean of Kα1 and Kα2)).
Intensities are scaled so that the largest is 100.

Most intense lines, 2θ = 5–70°, in order of rising 2θ:
2theta  d [Å]  I/Imax  h k l
15.87  5.584  100  1 1 0
18.16  4.886  30  0 2 0
23.51  3.785  86  1 1 -2
26.19  3.402  39  2 0 0
29.83  2.995  38  0 2 2
30.43  2.938  43  1 3 0
32.77  2.733  40  2 2 -2
38.06  2.364  18  3 1 -2
44.11  2.053  22  2 0 -4
52.60  1.740  19  1 3 -4

Structural model:
Unit cell a=7.4626 b=9.7714 c=8.3138 alpha=90.00 beta=114.25 gamma=90.00
Space group C2/c (No. 15)
Asymmetric unit:
K: 0.0000 0.1643 0.2500 (multiplicity 4)
Th: 0.0000 0.5000 0.0000 (multiplicity 4)
Si: 0.0000 0.1831 0.7500 (multiplicity 4)
O: 0.0000 0.4330 0.2500 (multiplicity 4)
O: 0.0812 0.2825 0.6327 (multiplicity 8)
O: 0.1765 0.0819 0.8818 (multiplicity 8)